Calculated powder diffractogram of Th4Ge8Pt for Cu Kα X-rays, from a cell relaxed with PBE.

Largest 10 diffraction maxima, in order of rising 2θ, 5° ≤ 2θ ≤ 70°:
| (hkl) | d [Å] | 2θ (°) | Rel. int. |
| --- | --- | --- | --- |
| 0 0 1 | 17.096 | 5.17 | 22 |
| 1 0 2 | 3.709 | 23.99 | 22 |
| 1 1 1 | 2.899 | 30.85 | 20 |
| 0 1 5 | 2.652 | 33.79 | 34 |
| 1 1 3 | 2.614 | 34.31 | 100 |
| 1 0 6 | 2.343 | 38.42 | 23 |
| 0 2 0 | 2.102 | 43.04 | 24 |
| 2 0 0 | 2.058 | 43.99 | 21 |
| 2 1 5 | 1.626 | 56.60 | 16 |
| 2 2 0 | 1.471 | 63.23 | 14 |

Crystal structure
```
data_Th4Ge8Pt
_chemical_formula_sum 'Th4 Ge8 Pt1'
_cell_length_a 4.1167
_cell_length_b 4.2033
_cell_length_c 17.0957
_cell_angle_alpha 90.00
_cell_angle_beta 90.00
_cell_angle_gamma 90.00
_symmetry_space_group_name_H-M 'P m m 2'
_symmetry_Int_Tables_number 25
_symmetry_space_group_name_Hall 'P 2 -2'
loop_
_atom_site_label
_atom_site_type_symbol
_atom_site_fract_x
_atom_site_fract_y
_atom_site_fract_z
Th1 Th 0.0000 0.0000 0.0000
Th2 Th 0.0000 0.5000 0.4882
Th3 Th 0.5000 0.0000 0.7872
Th4 Th 0.5000 0.5000 0.2788
Ge1 Ge 0.0000 0.0000 0.3340
Ge2 Ge 0.0000 0.0000 0.6242
Ge3 Ge 0.0000 0.5000 0.1392
Ge4 Ge 0.0000 0.5000 0.8546
Ge5 Ge 0.5000 0.0000 0.1391
Ge6 Ge 0.5000 0.0000 0.4307
Ge7 Ge 0.5000 0.5000 0.6229
Ge8 Ge 0.5000 0.5000 0.9439
Pt1 Pt 0.0000 0.5000 0.7098
```